Computed powder diffractogram
Compound: CsNb3SBr7
Radiation: Cu Kα (λ = 1.5418 Å)
Structure: a crystal structure in Alexandria, relaxed with PBE
Lines closer than 0.1° are merged.

abc: 10.5341 19.6098 7.1570
angles: 90.00 95.43 90.00
Positions (direct):
Cs 0.1186 0.0978 0.2593
Cs 0.1186 0.4022 0.7593
Cs 0.8814 0.5978 0.2407
Cs 0.8814 0.9022 0.7407
Nb 0.1830 0.6701 0.7825
Nb 0.1830 0.8299 0.2825
Nb 0.4243 0.6724 0.0181
Nb 0.4243 0.8276 0.5181
Nb 0.4247 0.6724 0.6157
Nb 0.4247 0.8276 0.1157
Nb 0.5753 0.1724 0.8843
Nb 0.5753 0.3276 0.3843
Nb 0.5757 0.1724 0.4819
Nb 0.5757 0.3276 0.9819
Nb 0.8170 0.1701 0.7175
Nb 0.8170 0.3299 0.2175
S 0.3323 0.7377 0.3039
S 0.3323 0.7623 0.8039
S 0.6677 0.2377 0.1961
S 0.6677 0.2623 0.6961
Br 0.0450 0.0994 0.7500
Br 0.0450 0.4006 0.2500
Br 0.0549 0.7500 0.0146
Br 0.0549 0.7500 0.5146
Br 0.2461 0.5802 0.0419
Br 0.2461 0.9198 0.5419
Br 0.2473 0.5800 0.5418
Br 0.2473 0.9200 0.0418
Br 0.3695 0.2502 0.4063
Br 0.3695 0.2498 0.9063
Br 0.4436 0.0865 0.6644
Br 0.4436 0.4135 0.1644
Br 0.4657 0.1010 0.1680
Br 0.4657 0.3990 0.6680
Br 0.5343 0.6010 0.3320
Br 0.5343 0.8990 0.8320
Br 0.5564 0.5865 0.8356
Br 0.5564 0.9135 0.3356
Br 0.6305 0.7502 0.0937
Br 0.6305 0.7498 0.5937
Br 0.7527 0.0800 0.9582
Br 0.7527 0.4200 0.4582
Br 0.7539 0.0802 0.4581
Br 0.7539 0.4198 0.9581
Br 0.9451 0.2500 0.4854
Br 0.9451 0.2500 0.9854
Br 0.9550 0.5994 0.7500
Br 0.9550 0.9006 0.2500

Top 8 peaks for 2θ = 5–70°, in order of falling intensity:
2θ (°)	Rel. int.
9.6	100
29.0	82
30.5	71
9.0	54
34.3	51
27.3	48
18.1	41
30.4	38